Simulated powder diffractogram of Pr3WO7 for Cu Kα, from a crystal structure in Alexandria, relaxed with PBE+U.

Cell and atoms:
```
Pr3WO7
1.0
3.904 -5.495 0.000
3.904 5.495 0.000
0.000 0.000 7.778
Pr W O
6 2 14
direct
0.019 0.019 0.000 Pr
0.034 0.500 0.254 Pr
0.500 0.034 0.746 Pr
0.500 0.966 0.246 Pr
0.966 0.500 0.754 Pr
0.981 0.981 0.500 Pr
0.500 0.500 0.000 W
0.500 0.500 0.500 W
0.131 0.869 0.750 O
0.135 0.865 0.250 O
0.184 0.422 0.975 O
0.193 0.438 0.531 O
0.422 0.184 0.025 O
0.435 0.565 0.250 O
0.438 0.193 0.469 O
0.562 0.807 0.969 O
0.565 0.435 0.750 O
0.578 0.816 0.525 O
0.807 0.562 0.031 O
0.816 0.578 0.475 O
0.865 0.135 0.750 O
0.869 0.131 0.250 O
```

Top 10 peaks for 2θ from 5° to 70°, low angle first:
two_theta, I (rel.)
13.91, 2
28.07, 100
32.52, 35
46.52, 7
46.69, 38
55.24, 13
55.39, 28
57.95, 5
58.11, 5
68.05, 4